This entry pairs a crystal structure of TiV3O8 with its calculated powder diffractogram. Radiation: a wavelength of 1.5418 Å. Structure: a cell relaxed with PBE+U.

Cell and atoms:
Cell: 3.774 7.785 10.388 Å, 90.85 100.32 103.86°
Atoms (fractional coordinates):
Ti  0.000  0.000  0.000
Ti  0.003  0.508  0.499
V  0.084  0.381  0.800
V  0.116  0.887  0.296
V  0.334  0.780  0.806
V  0.337  0.281  0.310
V  0.386  0.168  0.613
V  0.389  0.667  0.110
O  0.053  0.195  0.916
O  0.056  0.702  0.417
O  0.129  0.593  0.677
O  0.132  0.093  0.176
O  0.249  0.574  0.919
O  0.250  0.079  0.423
O  0.321  0.968  0.681
O  0.326  0.473  0.184
O  0.454  0.922  0.986
O  0.455  0.428  0.485
O  0.547  0.337  0.764
O  0.555  0.848  0.263
O  0.826  0.318  0.331
O  0.826  0.817  0.832
O  0.930  0.249  0.618
O  0.930  0.744  0.114

Main lines, by angle (2θ from 10° to 90°):
14.17°, d 6.249, I = 46, hkl 0 1 -1; 15.02°, d 5.898, I = 33, hkl 0 1 1; 24.77°, d 3.594, I = 100, hkl -1 1 1; 28.57°, d 3.124, I = 52, hkl 0 2 -2; 29.46°, d 3.032, I = 31, hkl 0 1 3; 33.01°, d 2.714, I = 16, hkl 1 0 2; 43.44°, d 2.083, I = 29, hkl 0 3 -3; 44.05°, d 2.056, I = 31, hkl 0 2 4; 48.23°, d 1.887, I = 34, hkl -2 1 1; 57.64°, d 1.599, I = 17, hkl 1 2 4